Simulated powder X-ray diffraction pattern of CePrAgAu for Cu Ka, from DFT lattice parameters and positions (GGA-PBE).
Peak positions follow from Bragg's law for the DFT cell and can differ from measured ones.

Largest 6 diffraction maxima, in order of falling intensity, 15° ≤ 2θ ≤ 90°:
2θ (°)  Rel. int.
33.86  100
33.98  50
60.74  37
60.51  18
48.82  18
81.56  16

Atomic structure:
abc: 3.7310 3.7310 7.5130
angles: 90.00 90.00 90.00
Fractional positions:
Ce1 0.0000 0.0000 0.0000
Pr1 0.0000 0.0000 0.4863
Ag1 0.5000 0.5000 0.7454
Au1 0.5000 0.5000 0.2341



Simulated powder X-ray diffraction pattern of BaSr4Ti5O15 for Cu Ka, from DFT lattice parameters and positions (GGA-PBE).
Peak positions follow from Bragg's law for the DFT cell and can differ from measured ones.

Largest 6 diffraction maxima, in order of falling intensity, 15° ≤ 2θ ≤ 90°:
2θ (°)  Rel. int.
31.94  100
45.80  39
56.93  38
66.78  23
39.39  22
75.94  16

Atomic structure:
abc: 3.9623 3.9623 19.8116
angles: 90.00 90.00 90.00
Fractional positions:
Ba1 0.0000 0.0000 0.0000
Sr1 0.0000 0.0000 0.2023
Sr2 0.0000 0.0000 0.4007
Sr3 0.0000 0.0000 0.5993
Sr4 0.0000 0.0000 0.7977
Ti1 0.5000 0.5000 0.1033
Ti2 0.5000 0.5000 0.3015
Ti3 0.5000 0.5000 0.5000
Ti4 0.5000 0.5000 0.6985
Ti5 0.5000 0.5000 0.8967
O1 0.0000 0.5000 0.1047
O2 0.0000 0.5000 0.3016
O3 0.0000 0.5000 0.5000
O4 0.0000 0.5000 0.6984
O5 0.0000 0.5000 0.8953
O6 0.5000 0.0000 0.1047
O7 0.5000 0.0000 0.3016
O8 0.5000 0.0000 0.5000
O9 0.5000 0.0000 0.6984
O10 0.5000 0.0000 0.8953
O11 0.5000 0.5000 0.0000
O12 0.5000 0.5000 0.2023
O13 0.5000 0.5000 0.4008
O14 0.5000 0.5000 0.5992
O15 0.5000 0.5000 0.7977



Simulated powder X-ray diffraction pattern of Th5Sn4Os for Cu Ka, from DFT lattice parameters and positions (GGA-PBE).
Peak positions follow from Bragg's law for the DFT cell and can differ from measured ones.

Largest 6 diffraction maxima, in order of falling intensity, 15° ≤ 2θ ≤ 90°:
2θ (°)  Rel. int.
28.46  100
40.38  80
28.04  59
50.13  39
40.68  35
65.81  20

Atomic structure:
abc: 7.7019 7.7019 7.7019
angles: 99.83 99.83 131.19
Fractional positions:
Th1 0.0000 0.0000 0.0000
Th2 0.2361 0.5972 0.8333
Th3 0.4028 0.2361 0.6389
Th4 0.5972 0.7639 0.3611
Th5 0.7639 0.4028 0.1667
Sn1 0.0841 0.3126 0.3967
Sn2 0.3126 0.9159 0.2285
Sn3 0.6874 0.0841 0.7715
Sn4 0.9159 0.6874 0.6033
Os1 0.5000 0.5000 0.0000



Simulated powder X-ray diffraction pattern of VPd5Se4 for Cu Ka, from DFT lattice parameters and positions (GGA-PBE).
Peak positions follow from Bragg's law for the DFT cell and can differ from measured ones.

Largest 6 diffraction maxima, in order of falling intensity, 15° ≤ 2θ ≤ 90°:
2θ (°)  Rel. int.
43.22  100
28.80  49
43.87  31
45.81  28
28.37  27
41.06  24

Atomic structure:
abc: 6.9716 8.2552 6.7732
angles: 90.00 90.00 90.00
Fractional positions:
V1 0.2500 0.2500 0.2411
V2 0.7500 0.7500 0.7589
Pd1 0.0400 0.0127 0.7852
Pd2 0.0400 0.4873 0.7852
Pd3 0.2500 0.7500 0.3067
Pd4 0.4600 0.0127 0.7852
Pd5 0.4600 0.4873 0.7852
Pd6 0.5400 0.5127 0.2148
Pd7 0.5400 0.9873 0.2148
Pd8 0.7500 0.2500 0.6933
Pd9 0.9600 0.5127 0.2148
Pd10 0.9600 0.9873 0.2148
Se1 0.0140 0.7500 0.9740
Se2 0.2500 0.0245 0.4655
Se3 0.2500 0.4755 0.4655
Se4 0.4860 0.7500 0.9740
Se5 0.5140 0.2500 0.0260
Se6 0.7500 0.5245 0.5345
Se7 0.7500 0.9755 0.5345
Se8 0.9860 0.2500 0.0260